This entry pairs a crystal structure of MgMn2P2O9 with its theoretical PXRD pattern. Radiation: Cu Kα. Structure: a structure optimized by DFT (GGA+U).
Lines closer than 0.1° are merged.

Top 10 peaks for 10° ≤ 2θ ≤ 90°, sorted by position:
d_spacing	2θ/deg	Rel. int.	(hkl)
5.100	17.39	56	2 0 1
3.990	22.28	29	3 0 1
3.513	25.35	100	1 0 2
3.216	27.74	25	4 0 1
3.196	27.91	33	0 2 0
2.867	31.20	67	1 2 1
2.708	33.08	21	2 2 1
2.669	33.57	36	5 0 1
1.915	47.47	19	6 2 0
1.599	57.64	48	0 4 0

Structure:
```
data_MgMn2P2O9
_cell_length_a 14.3572
_cell_length_b 6.3926
_cell_length_c 7.2460
_cell_angle_alpha 90.00
_cell_angle_beta 90.00
_cell_angle_gamma 90.00
_symmetry_space_group_name_H-M 'P n m a'
_symmetry_Int_Tables_number 62
loop_
_symmetry_equiv_pos_as_xyz
'x,y,z'
'-x,-y,-z'
'-x+1/2,-y,z+1/2'
'x+1/2,y,-z+1/2'
'x+1/2,-y+1/2,-z+1/2'
'-x+1/2,y+1/2,z+1/2'
'-x,y+1/2,-z'
'x,-y+1/2,z'
loop_
_atom_site_label
_atom_site_fract_x
_atom_site_fract_y
_atom_site_fract_z
Mg1 0.2271 0.2500 0.0946
Mn1 0.0000 0.0000 0.0000
Mn2 0.1190 0.2500 0.6469
P1 0.0716 0.7500 0.6312
P2 0.1997 0.7500 0.1126
O1 0.0021 0.2500 0.5186
O2 0.0217 0.7500 0.8220
O3 0.0500 0.2500 0.8712
O4 0.1412 0.5660 0.6211
O5 0.1437 0.5428 0.1094
O6 0.2262 0.2500 0.4537
O7 0.2365 0.2500 0.7928
```


This entry pairs a crystal structure of MgVP2O7 with its theoretical PXRD pattern. Radiation: Cu Kα. Structure: a structure optimized by DFT (GGA+U).
Lines closer than 0.1° are merged.

Top 10 peaks for 10° ≤ 2θ ≤ 90°, sorted by position:
d_spacing	2θ/deg	Rel. int.	(hkl)
5.136	17.27	16	1 1 0
3.120	28.61	57	1 1 1
3.080	28.99	100	0 2 1
2.912	30.71	59	2 0 -1
2.599	34.52	15	1 3 0
2.568	34.94	19	2 2 0
2.167	41.67	19	1 3 1
2.050	44.18	19	3 1 -1
1.841	49.52	15	2 2 -2
1.626	56.62	22	1 3 2

Structure:
```
data_MgVP2O7
_cell_length_a 6.5797
_cell_length_b 8.5210
_cell_length_c 4.5565
_cell_angle_alpha 90.00
_cell_angle_beta 101.98
_cell_angle_gamma 90.00
_symmetry_space_group_name_H-M 'C 1 2 1'
_symmetry_Int_Tables_number 5
loop_
_symmetry_equiv_pos_as_xyz
'x,y,z'
'-x,y,-z'
'x+1/2,y+1/2,z'
'-x+1/2,y+1/2,-z'
loop_
_atom_site_label
_atom_site_fract_x
_atom_site_fract_y
_atom_site_fract_z
Mg1 0.0000 0.0000 0.0000
V1 0.0000 0.3744 0.0000
P1 0.2191 0.6856 0.4079
O1 0.0000 0.6734 0.5000
O2 0.1263 0.1850 0.2891
O3 0.2200 0.8379 0.2265
O4 0.2375 0.5378 0.2224
```


This entry pairs a crystal structure of NaLiMnPCO7 with its theoretical PXRD pattern. Radiation: Cu Kα. Structure: a structure optimized by DFT (GGA+U).
Lines closer than 0.1° are merged.

Top 10 peaks for 10° ≤ 2θ ≤ 90°, sorted by position:
d_spacing	2θ/deg	Rel. int.	(hkl)
5.182	17.11	100	0 1 1
4.608	19.26	40	1 0 -1
4.079	21.79	50	1 1 0
3.681	24.17	41	1 1 1
3.451	25.81	93	1 0 -2
3.187	28.00	93	0 2 0
2.654	33.78	66	2 0 0
2.619	34.24	48	1 0 -3
2.591	34.62	30	0 2 2
2.067	43.80	32	0 3 1

Structure:
```
data_NaLiMnPCO7
_cell_length_a 5.3087
_cell_length_b 6.3743
_cell_length_c 8.9012
_cell_angle_alpha 90.00
_cell_angle_beta 91.40
_cell_angle_gamma 90.00
_symmetry_space_group_name_H-M 'P 1 21 1'
_symmetry_Int_Tables_number 4
loop_
_symmetry_equiv_pos_as_xyz
'x,y,z'
'-x,y+1/2,-z'
loop_
_atom_site_label
_atom_site_fract_x
_atom_site_fract_y
_atom_site_fract_z
Na1 0.2269 0.0000 0.2614
Li1 0.2321 0.4702 0.3134
Mn1 0.2258 0.7982 0.8553
P1 0.2962 0.2964 0.9359
C1 0.2788 0.7641 0.5688
O1 0.0701 0.7878 0.6480
O2 0.1801 0.2984 0.0928
O3 0.2116 0.4887 0.8406
O4 0.2145 0.1038 0.8404
O5 0.2640 0.7300 0.4293
O6 0.4073 0.8004 0.0470
O7 0.4851 0.7762 0.6488
```